Simulated PXRD pattern of NdCd10Ag2 for λ = 1.5418 Å (Cu Kα), from DFT lattice parameters and positions (PBE).
No peak broadening, texture or thermal motion is included.

Largest 12 diffraction maxima, sorted by position, 15° ≤ 2θ ≤ 90°:
- 2θ = 30.81°, intensity 31.5, hkl 2 1 1
- 2θ = 30.99°, intensity 25.6, hkl 1 2 -1
- 2θ = 35.59°, intensity 20.5, hkl 2 0 0
- 2θ = 35.76°, intensity 40.6, hkl 1 -2 0
- 2θ = 35.83°, intensity 55.2, hkl 2 0 2
- 2θ = 35.97°, intensity 100.0, hkl 0 2 2
- 2θ = 36.07°, intensity 41.6, hkl 1 3 1
- 2θ = 40.05°, intensity 39.5, hkl 2 1 -1
- 2θ = 40.32°, intensity 26.7, hkl 0 1 3
- 2θ = 40.43°, intensity 61.8, hkl 2 1 3
- 2θ = 64.26°, intensity 16.6, hkl 4 2 2
- 2θ = 64.60°, intensity 22.1, hkl 2 4 -2

Crystal structure
a = 5.7986 Å, b = 7.6017 Å, c = 7.6218 Å
α = 81.95°, β = 68.19°, γ = 68.11°
Space group P-1 (No. 2)
Inequivalent atoms, fractional coordinates:
Nd: 0.0000 0.0000 0.0000 (multiplicity 1)
Cd: 0.0000 0.0000 0.5000 (multiplicity 1)
Cd: 0.0078 0.6439 0.3424 (multiplicity 2)
Cd: 0.2855 0.2169 0.2094 (multiplicity 2)
Cd: 0.3492 0.6440 0.6577 (multiplicity 2)
Cd: 0.4960 0.2169 0.7906 (multiplicity 2)
Cd: 0.5000 0.0000 0.5000 (multiplicity 1)
Ag: 0.0000 0.5000 0.0000 (multiplicity 1)
Ag: 0.5000 0.5000 0.0000 (multiplicity 1)